Calculated powder diffractogram of Na for λ = 1.5418 Å (Cu Kα), from a structure optimized by DFT (PBE).
Intensities are scaled so that the largest is 100.

Atomic structure:
```
4
Lattice="4.6132 0.0000 0.0000 -2.3066 3.9952 0.0000 0.0000 0.0000 8.6601" Properties=species:S:1:pos:R:3 pbc="T T T"
Na 0.0000 0.0000 0.0000
Na 0.0000 0.0000 4.3301
Na 0.0000 2.6634 2.1650
Na 2.3066 1.3317 6.4951
```

Peak list (12 most intense, 15 to 90 degrees two-theta, by intensity)
d_spacing  2θ (°)  intensity  h k l
2.936  30.4  100  1 0 2
3.628  24.5  58  1 0 1
2.307  39.1  44  1 1 0
1.579  58.5  24  1 1 4
1.814  50.3  22  2 0 2
1.426  65.5  18  2 1 2
2.340  38.5  17  1 0 3
3.995  22.3  12  1 0 0
2.165  41.7  12  0 0 4
1.946  46.7  10  2 0 1
1.357  69.2  7  1 0 6
1.488  62.4  7  2 1 1